This entry pairs a crystal structure of HgPb3 with its simulated PXRD pattern. Radiation: Cu Kα, 1.54184 Å. Structure: a crystal structure in Alexandria, relaxed with GGA-PBE.

Peak list (10 most intense, 2θ from 10° to 90°, by intensity)
33.19°, I 100
28.58°, I 25
62.00°, I 22
33.39°, I 21
50.62°, I 21
59.55°, I 18
61.88°, I 17
83.92°, I 16
44.51°, I 15
81.88°, I 8

Crystal structure
Cell: 3.6066 3.6066 10.7333 Å, 90.00 90.00 120.00°
Sites, in units of the cell vectors:
Hg 0.0000 0.0000 0.0000
Pb 0.0000 0.0000 0.5000
Pb 0.6667 0.3333 0.2389
Pb 0.6667 0.3333 0.7611

***

This entry pairs a crystal structure of HgPd4Pb3 with its simulated PXRD pattern. Radiation: Cu Kα, 1.54184 Å. Structure: a crystal structure in Alexandria, relaxed with GGA-PBE.

Peak list (10 most intense, 2θ from 10° to 90°, by intensity)
28.60°, I 100
25.73°, I 99
45.95°, I 66
36.77°, I 58
30.19°, I 52
24.72°, I 52
35.74°, I 49
26.17°, I 46
41.72°, I 44
39.16°, I 40

Crystal structure
Cell: 8.0426 6.8096 7.2018 Å, 90.00 90.00 90.00°
Sites, in units of the cell vectors:
Hg 0.0000 0.1448 0.0000
Hg 0.5000 0.8552 0.5000
Pd 0.0000 0.1508 0.3733
Pd 0.0000 0.9106 0.6782
Pd 0.1803 0.2680 0.6822
Pd 0.3197 0.7320 0.1822
Pd 0.5000 0.0894 0.1782
Pd 0.5000 0.8492 0.8733
Pd 0.6803 0.7320 0.1822
Pd 0.8197 0.2680 0.6822
Pb 0.0000 0.7524 0.3181
Pb 0.2165 0.6395 0.8204
Pb 0.2835 0.3605 0.3204
Pb 0.5000 0.2476 0.8181
Pb 0.7165 0.3605 0.3204
Pb 0.7835 0.6395 0.8204

***

This entry pairs a crystal structure of HgPd5Pb4 with its simulated PXRD pattern. Radiation: Cu Kα, 1.54184 Å. Structure: a crystal structure in Alexandria, relaxed with GGA-PBE.

Peak list (10 most intense, 2θ from 10° to 90°, by intensity)
34.22°, I 100
31.54°, I 85
27.63°, I 51
53.81°, I 42
46.25°, I 36
32.95°, I 32
35.94°, I 31
43.86°, I 30
42.77°, I 29
38.73°, I 27

Crystal structure
Cell: 6.9011 6.9011 6.9011 Å, 98.93 98.93 133.60°
Sites, in units of the cell vectors:
Hg 0.0000 0.0000 0.0000
Pd 0.0048 0.6192 0.0825
Pd 0.4993 0.4993 0.0000
Pd 0.5368 0.9224 0.9175
Pd 0.6192 0.5368 0.6144
Pd 0.9224 0.0048 0.3856
Pb 0.2503 0.9869 0.6536
Pb 0.3333 0.5967 0.3464
Pb 0.5967 0.2503 0.2634
Pb 0.9869 0.3333 0.7366

***

This entry pairs a crystal structure of HgPd6Pb2 with its simulated PXRD pattern. Radiation: Cu Kα, 1.54184 Å. Structure: a crystal structure in Alexandria, relaxed with GGA-PBE.

Peak list (10 most intense, 2θ from 10° to 90°, by intensity)
41.60°, I 100
30.53°, I 63
39.87°, I 61
38.42°, I 40
49.85°, I 33
22.17°, I 30
73.01°, I 21
71.66°, I 20
80.25°, I 19
67.30°, I 15

Crystal structure
Cell: 8.1790 8.1790 8.1790 Å, 157.71 123.48 61.52°
Sites, in units of the cell vectors:
Hg 0.0000 0.0000 0.0000
Pd 0.0289 0.8333 0.1956
Pd 0.3021 0.5000 0.8021
Pd 0.3624 0.1667 0.1956
Pd 0.6376 0.8333 0.8044
Pd 0.6979 0.5000 0.1979
Pd 0.9711 0.1667 0.8044
Pb 0.3342 0.3342 0.0000
Pb 0.6658 0.6658 0.0000